[1]
Pm2DyCd8: theoretical powder diffraction line list (CuKα), based on a structure optimized by DFT (PBE).
Neutral-atom scattering factors, no anomalous dispersion.

Main lines, most intense first (10 to 90 degrees two-theta):
Position (°2θ)	d [Å]	I (rel.)
33.89	2.645	100
33.55	2.671	88
35.81	2.508	47
39.99	2.255	26
41.41	2.180	23
54.74	1.677	19
55.88	1.645	19
63.12	1.473	16

Structural model:
```
data_Pm2DyCd8
_space_group_name_H-M_alt 'C 1 2/m 1'
_space_group_IT_number 12
_cell_length_a 15.9925
_cell_length_b 5.0154
_cell_length_c 7.0799
_cell_angle_alpha 90.00
_cell_angle_beta 107.18
_cell_angle_gamma 90.00
loop_
_space_group_symop_operation_xyz
'x,y,z'
'-x,-y,-z'
'-x,y,-z'
'x,-y,z'
'x+1/2,y+1/2,z'
'-x+1/2,-y+1/2,-z'
'-x+1/2,y+1/2,-z'
'x+1/2,-y+1/2,z'
loop_
_atom_site_label
_atom_site_fract_x
_atom_site_fract_y
_atom_site_fract_z
_atom_site_occupancy
Pm1 0.2155 0.0000 0.1486 1
Dy1 0.0000 0.5000 0.5000 1
Cd1 0.0146 0.0000 0.2168 1
Cd2 0.0891 0.5000 0.9609 1
Cd3 0.1442 0.0000 0.6310 1
Cd4 0.1722 0.5000 0.3929 1
```



[2]
TbHPt3: theoretical powder diffraction line list (CuKα), based on a structure optimized by DFT (PBE).
Neutral-atom scattering factors, no anomalous dispersion.

Main lines, most intense first (10 to 90 degrees two-theta):
Position (°2θ)	d [Å]	I (rel.)
36.95	2.433	100
43.02	2.103	66
37.25	2.414	33
74.85	1.269	25
62.67	1.483	22
62.27	1.491	22
75.21	1.263	13
74.66	1.271	13

Structural model:
```
data_TbHPt3
_space_group_name_H-M_alt 'R 3 m'
_space_group_IT_number 160
_space_group_name_Hall 'R 3 -2"'
_cell_length_a 5.9642
_cell_length_b 5.9642
_cell_length_c 7.2421
_cell_angle_alpha 90.00
_cell_angle_beta 90.00
_cell_angle_gamma 120.00
loop_
_atom_site_label
_atom_site_fract_x
_atom_site_fract_y
_atom_site_fract_z
_atom_site_occupancy
Tb1 0.0000 0.0000 0.0000 1
H1 0.0000 0.0000 0.6636 1
Pt1 0.0155 0.5077 0.0017 1
```



[3]
Tb7Pm4Mg: theoretical powder diffraction line list (CuKα), based on a structure optimized by DFT (PBE).
Neutral-atom scattering factors, no anomalous dispersion.

Main lines, most intense first (10 to 90 degrees two-theta):
Position (°2θ)	d [Å]	I (rel.)
30.58	2.924	100
35.56	2.525	65
30.94	2.890	29
60.79	1.524	26
50.93	1.793	24
51.40	1.778	20
60.58	1.529	14
63.65	1.462	12

Structural model:
```
data_Tb7Pm4Mg
_space_group_name_H-M_alt 'P -3 m 1'
_space_group_IT_number 164
_space_group_name_Hall '-P 3 2"'
_cell_length_a 3.5861
_cell_length_b 3.5861
_cell_length_c 34.6842
_cell_angle_alpha 90.00
_cell_angle_beta 90.00
_cell_angle_gamma 120.00
loop_
_atom_site_label
_atom_site_fract_x
_atom_site_fract_y
_atom_site_fract_z
_atom_site_occupancy
Tb1 0.0000 0.0000 0.0000 1
Tb2 0.0000 0.0000 0.2533 1
Tb3 0.3333 0.6667 0.1700 1
Tb4 0.3333 0.6667 0.4231 1
Pm1 0.3333 0.6667 0.6612 1
Pm2 0.3333 0.6667 0.9151 1
Mg1 0.0000 0.0000 0.5000 1
```



[4]
AcH6RuPt: theoretical powder diffraction line list (CuKα), based on a structure optimized by DFT (PBE).
Neutral-atom scattering factors, no anomalous dispersion.

Main lines, most intense first (10 to 90 degrees two-theta):
Position (°2θ)	d [Å]	I (rel.)
28.99	3.080	100
36.80	2.443	50
55.57	1.654	31
47.51	1.914	26
61.56	1.506	25
40.13	2.247	13
78.23	1.222	12
80.39	1.194	11

Structural model:
```
data_AcH6RuPt
_space_group_name_H-M_alt 'P -6 m 2'
_space_group_IT_number 187
_space_group_name_Hall 'P -6 2'
_cell_length_a 4.8850
_cell_length_b 4.8850
_cell_length_c 4.4943
_cell_angle_alpha 90.00
_cell_angle_beta 90.00
_cell_angle_gamma 120.00
loop_
_atom_site_label
_atom_site_fract_x
_atom_site_fract_y
_atom_site_fract_z
_atom_site_occupancy
Ac1 0.0000 0.0000 0.0000 1
H1 0.5089 0.0178 0.2471 1
Ru1 0.6667 0.3333 0.5000 1
Pt1 0.3333 0.6667 0.5000 1
```



[5]
PrSiTe: theoretical powder diffraction line list (CuKα), based on a structure optimized by DFT (PBE).
Neutral-atom scattering factors, no anomalous dispersion.

Main lines, most intense first (10 to 90 degrees two-theta):
Position (°2θ)	d [Å]	I (rel.)
30.79	2.904	100
32.71	2.738	75
29.24	3.054	46
55.68	1.651	33
36.86	2.438	30
43.25	2.092	20
33.89	2.645	20
43.75	2.069	20

Structural model:
```
data_PrSiTe
_space_group_name_H-M_alt 'C m c m'
_space_group_IT_number 63
_space_group_name_Hall '-C 2c 2'
_cell_length_a 4.1838
_cell_length_b 18.1073
_cell_length_c 4.1386
_cell_angle_alpha 90.00
_cell_angle_beta 90.00
_cell_angle_gamma 90.00
loop_
_atom_site_label
_atom_site_fract_x
_atom_site_fract_y
_atom_site_fract_z
_atom_site_occupancy
Pr1 0.0000 0.1014 0.2500 1
Si1 0.0000 0.4686 0.2500 1
Te1 0.0000 0.3132 0.2500 1
```



[6]
Rb3U3TeSe8: theoretical powder diffraction line list (CuKα), based on a structure optimized by DFT (PBE).
Neutral-atom scattering factors, no anomalous dispersion.

Main lines, most intense first (10 to 90 degrees two-theta):
Position (°2θ)	d [Å]	I (rel.)
28.26	3.157	100
11.04	8.014	87
28.69	3.112	47
38.18	2.357	35
43.11	2.098	32
35.74	2.512	27
39.60	2.276	19
50.96	1.792	17

Structural model:
```
data_Rb3U3TeSe8
_space_group_name_H-M_alt 'C 1 2/m 1'
_space_group_IT_number 12
_cell_length_a 14.3429
_cell_length_b 8.7665
_cell_length_c 9.2339
_cell_angle_alpha 90.00
_cell_angle_beta 119.79
_cell_angle_gamma 90.00
loop_
_space_group_symop_operation_xyz
'x,y,z'
'-x,-y,-z'
'-x,y,-z'
'x,-y,z'
'x+1/2,y+1/2,z'
'-x+1/2,-y+1/2,-z'
'-x+1/2,y+1/2,-z'
'x+1/2,-y+1/2,z'
loop_
_atom_site_label
_atom_site_fract_x
_atom_site_fract_y
_atom_site_fract_z
_atom_site_occupancy
Rb1 0.0000 0.0000 0.0000 1
Rb2 0.2500 0.2500 0.0000 1
U1 0.0000 0.5000 0.5000 1
U2 0.2500 0.2500 0.5000 1
Te1 0.0000 0.0000 0.5000 1
Se1 0.0274 0.2918 0.2896 1
Se2 0.2293 0.0000 0.6880 1
Se3 0.2339 0.5000 0.6980 1
```